In2Te2MoO10: theoretical powder XRD pattern (Cu Kα (λ = 1.5418 Å)), based on DFT lattice parameters and positions (PBE+U).

The 10 most intense peaks (5 to 70 degrees two-theta), most intense first:
(hkl), d [Å], 2θ (°), I (rel.)
1 1 -4, 3.225, 27.66, 100
4 0 -6, 2.651, 33.81, 22
1 0 -4, 3.992, 22.27, 21
4 2 -6, 1.903, 47.79, 16
1 0 0, 9.434, 9.37, 13
0 2 0, 2.736, 32.73, 12
1 3 -4, 1.659, 55.38, 11
5 1 -10, 1.621, 56.78, 8
2 2 2, 2.032, 44.60, 7
2 1 -8, 1.878, 48.47, 6

Atomic structure:
```
In2Te2MoO10
1.0
12.1878 0.0000 0.0000
0.0000 5.4723 0.0000
-10.7873 0.0000 13.1892
In Te Mo O
8 8 4 40
direct
0.0268 0.2020 0.1812
0.0268 0.2980 0.6812
0.1864 0.7407 0.1243
0.1864 0.7593 0.6243
0.8136 0.2407 0.3757
0.8136 0.2593 0.8757
0.9732 0.7020 0.3188
0.9732 0.7980 0.8188
0.1766 0.1895 0.4570
0.1766 0.3105 0.9570
0.3776 0.2374 0.7530
0.3776 0.2626 0.2530
0.6224 0.7374 0.7470
0.6224 0.7626 0.2470
0.8234 0.6895 0.0430
0.8234 0.8105 0.5430
0.3161 0.7328 0.3831
0.3161 0.7672 0.8831
0.6839 0.2328 0.1169
0.6839 0.2672 0.6169
0.0098 0.1172 0.9126
0.0098 0.3828 0.4126
0.0803 0.0422 0.3217
0.0803 0.4578 0.8217
0.1030 0.6006 0.9775
0.1030 0.8994 0.4775
0.1813 0.5322 0.3709
0.1813 0.9678 0.8709
0.1971 0.0863 0.7091
0.1971 0.4137 0.2091
0.2529 0.5743 0.7714
0.2529 0.9257 0.2714
0.2770 0.0809 0.1276
0.2770 0.4191 0.6276
0.3788 0.5740 0.9864
0.3788 0.9260 0.4864
0.3909 0.5515 0.1953
0.3909 0.9485 0.6953
0.4564 0.5631 0.4072
0.4564 0.9369 0.9072
0.5436 0.0631 0.0928
0.5436 0.4369 0.5928
0.6091 0.0515 0.3047
0.6091 0.4485 0.8047
0.6212 0.0740 0.5136
0.6212 0.4260 0.0136
0.7230 0.5809 0.3724
0.7230 0.9191 0.8724
0.7471 0.0743 0.7286
0.7471 0.4257 0.2286
0.8029 0.5863 0.7909
0.8029 0.9137 0.2909
0.8187 0.0322 0.1291
0.8187 0.4678 0.6291
0.8970 0.1006 0.5225
0.8970 0.3994 0.0225
0.9197 0.5422 0.1783
0.9197 0.9578 0.6783
0.9902 0.6172 0.5874
0.9902 0.8828 0.0874
```